Starting from a PBE-relaxed structure, the powder diffraction line list of ScAlFe was calculated for Cu Kα, 1.54184 Å.
Neutral-atom scattering factors, no anomalous dispersion.

Cell and atoms:
Cell lengths 8.369, 5.123, 5.123 Å; angles 61.10, 90.00, 90.00 degrees
Fractional positions:
Sc (0.174, 0.000, 0.000)
Sc (0.302, 0.337, 0.337)
Sc (0.698, 0.337, 0.337)
Sc (0.826, 0.000, 0.000)
Al (0.236, 0.677, 0.677)
Al (0.500, 0.328, 0.835)
Al (0.500, 0.835, 0.328)
Al (0.764, 0.677, 0.677)
Fe (0.000, 0.027, 0.489)
Fe (0.000, 0.489, 0.027)
Fe (0.000, 0.496, 0.496)
Fe (0.500, 0.837, 0.837)

Principal peaks in the range 2θ = 5–70°, by intensity:
2θ 41.70, rel. 100
2θ 41.33, rel. 90
2θ 37.98, rel. 88
2θ 10.57, rel. 49
2θ 42.37, rel. 47
2θ 40.84, rel. 38
2θ 43.24, rel. 26
2θ 38.17, rel. 25
2θ 66.40, rel. 21
2θ 21.23, rel. 20